(1)
Simulated XRD peak list of LaTb5Cd3 for Cu Kα (weighted mean of Kα1 and Kα2), from DFT lattice parameters and positions (GGA-PBE).
Peak positions follow from Bragg's law for the DFT cell and can differ from measured ones.

Cell and atoms:
Lattice parameters (Å, degrees): 9.276 9.276 7.030 90.00 90.00 120.00
Fractional coordinates of all 18 atoms:
1 La 0.000 0.000 0.000
2 La 0.000 0.000 0.500
3 Tb 0.000 0.333 0.250
4 Tb 0.000 0.667 0.750
5 Tb 0.333 0.000 0.250
6 Tb 0.333 0.333 0.750
7 Tb 0.333 0.667 0.000
8 Tb 0.333 0.667 0.500
9 Tb 0.667 0.000 0.750
10 Tb 0.667 0.333 0.000
11 Tb 0.667 0.333 0.500
12 Tb 0.667 0.667 0.250
13 Cd 0.000 0.340 0.750
14 Cd 0.000 0.660 0.250
15 Cd 0.340 0.000 0.750
16 Cd 0.340 0.340 0.250
17 Cd 0.660 0.000 0.250
18 Cd 0.660 0.660 0.750

Main lines, by angle (10° ≤ 2θ ≤ 90°):
2theta	I (rel.)
31.95	100
33.46	96
42.44	8
46.94	34
52.04	9
58.87	34
59.82	18
63.30	30
70.31	11
79.31	14
83.23	14
85.48	6

=====

(2)
Simulated XRD peak list of La2Tb3Cd3 for Cu Kα (weighted mean of Kα1 and Kα2), from DFT lattice parameters and positions (GGA-PBE).
Peak positions follow from Bragg's law for the DFT cell and can differ from measured ones.

Cell and atoms:
Lattice parameters (Å, degrees): 3.838 5.367 22.795 90.00 90.00 90.00
Fractional coordinates of all 16 atoms:
1 La 0.000 0.000 0.231
2 La 0.000 0.000 0.769
3 La 0.500 0.500 0.269
4 La 0.500 0.500 0.731
5 Tb 0.000 0.000 0.000
6 Tb 0.000 0.500 0.118
7 Tb 0.000 0.500 0.882
8 Tb 0.500 0.000 0.382
9 Tb 0.500 0.000 0.618
10 Tb 0.500 0.500 0.500
11 Cd 0.000 0.000 0.500
12 Cd 0.000 0.500 0.389
13 Cd 0.000 0.500 0.611
14 Cd 0.500 0.000 0.111
15 Cd 0.500 0.000 0.889
16 Cd 0.500 0.500 0.000

Main lines, by angle (10° ≤ 2θ ≤ 90°):
2theta	I (rel.)
25.64	5
31.39	21
32.71	100
33.39	26
46.49	14
47.37	10
56.73	9
57.94	7
59.23	28
64.55	6
68.54	9
78.70	8

=====

(3)
Simulated XRD peak list of LaTb4Cd for Cu Kα (weighted mean of Kα1 and Kα2), from DFT lattice parameters and positions (GGA-PBE).
Peak positions follow from Bragg's law for the DFT cell and can differ from measured ones.

Cell and atoms:
Lattice parameters (Å, degrees): 6.752 6.752 11.120 90.00 90.00 132.36
Fractional coordinates of all 12 atoms:
1 La 0.181 0.819 0.500
2 La 0.819 0.181 0.000
3 Tb 0.024 0.976 0.213
4 Tb 0.174 0.826 0.931
5 Tb 0.320 0.680 0.216
6 Tb 0.493 0.507 0.476
7 Tb 0.507 0.493 0.976
8 Tb 0.680 0.320 0.716
9 Tb 0.826 0.174 0.431
10 Tb 0.976 0.024 0.713
11 Cd 0.354 0.646 0.730
12 Cd 0.646 0.354 0.230

Main lines, by angle (10° ≤ 2θ ≤ 90°):
2theta	I (rel.)
30.03	15
31.63	100
32.20	21
32.84	26
43.98	8
46.66	15
55.54	6
55.96	8
57.05	10
57.87	18
60.54	6
66.05	7

=====

(4)
Simulated XRD peak list of LaTb7Cd4 for Cu Kα (weighted mean of Kα1 and Kα2), from DFT lattice parameters and positions (GGA-PBE).
Peak positions follow from Bragg's law for the DFT cell and can differ from measured ones.

Cell and atoms:
Lattice parameters (Å, degrees): 7.935 7.935 9.782 119.67 119.67 42.55
Fractional coordinates of all 12 atoms:
1 La 0.000 0.000 0.000
2 Tb 0.071 0.071 0.414
3 Tb 0.206 0.206 0.880
4 Tb 0.265 0.265 0.309
5 Tb 0.500 0.500 0.000
6 Tb 0.735 0.735 0.691
7 Tb 0.794 0.794 0.120
8 Tb 0.929 0.929 0.586
9 Cd 0.318 0.318 0.659
10 Cd 0.459 0.459 0.287
11 Cd 0.541 0.541 0.713
12 Cd 0.682 0.682 0.341

Main lines, by angle (10° ≤ 2θ ≤ 90°):
2theta	I (rel.)
28.49	24
29.65	48
30.34	53
31.06	100
31.59	29
31.82	43
32.63	22
33.14	24
35.08	74
36.72	19
43.48	34
44.89	22

=====

(5)
Simulated XRD peak list of LaTbZnCd for Cu Kα (weighted mean of Kα1 and Kα2), from DFT lattice parameters and positions (GGA-PBE).
Peak positions follow from Bragg's law for the DFT cell and can differ from measured ones.

Cell and atoms:
Lattice parameters (Å, degrees): 3.697 3.697 7.745 90.00 90.00 90.00
Fractional coordinates of all 4 atoms:
1 La 0.000 0.000 0.000
2 Tb 0.000 0.000 0.460
3 Zn 0.500 0.500 0.254
4 Cd 0.500 0.500 0.709

Main lines, by angle (10° ≤ 2θ ≤ 90°):
2theta	I (rel.)
24.07	6
26.72	5
33.51	100
34.30	50
46.92	8
49.29	18
59.40	15
60.92	35
70.42	9
72.28	6
82.06	7
82.50	8

=====

(6)
Simulated XRD peak list of LaCd2Tc for Cu Kα (weighted mean of Kα1 and Kα2), from DFT lattice parameters and positions (GGA-PBE).
Peak positions follow from Bragg's law for the DFT cell and can differ from measured ones.

Cell and atoms:
Lattice parameters (Å, degrees): 3.240 5.232 5.449 90.00 106.64 90.00
Fractional coordinates of all 4 atoms:
1 La 0.000 0.000 0.000
2 Cd 0.366 0.500 0.724
3 Cd 0.634 0.500 0.276
4 Tc 0.000 0.000 0.500

Main lines, by angle (10° ≤ 2θ ≤ 90°):
2theta	I (rel.)
33.57	100
33.74	21
34.28	68
37.72	13
38.17	44
38.54	92
51.85	20
52.23	35
60.94	17
63.61	11
64.24	22
72.30	22

=====

(7)
Simulated XRD peak list of La3CdTc for Cu Kα (weighted mean of Kα1 and Kα2), from DFT lattice parameters and positions (GGA-PBE).
Peak positions follow from Bragg's law for the DFT cell and can differ from measured ones.

Cell and atoms:
Lattice parameters (Å, degrees): 9.701 8.868 6.226 77.82 63.33 38.85
Fractional coordinates of all 10 atoms:
1 La 0.192 0.587 0.413
2 La 0.202 0.202 0.798
3 La 0.413 0.808 0.192
4 La 0.587 0.192 0.808
5 La 0.798 0.798 0.202
6 La 0.808 0.413 0.587
7 Cd 0.205 0.795 0.795
8 Cd 0.795 0.205 0.205
9 Tc 0.250 0.250 0.250
10 Tc 0.750 0.750 0.750

Main lines, by angle (10° ≤ 2θ ≤ 90°):
2theta	I (rel.)
26.11	13
27.72	35
29.38	55
31.50	47
33.25	100
34.21	49
34.45	25
37.20	31
38.45	27
50.81	18
53.71	13
53.87	29

=====

(8)
Simulated XRD peak list of La4ThCd3 for Cu Kα (weighted mean of Kα1 and Kα2), from DFT lattice parameters and positions (GGA-PBE).
Peak positions follow from Bragg's law for the DFT cell and can differ from measured ones.

Cell and atoms:
Lattice parameters (Å, degrees): 3.717 5.760 11.633 90.00 90.00 90.00
Fractional coordinates of all 8 atoms:
1 La 0.000 0.000 0.000
2 La 0.000 0.000 0.500
3 La 0.000 0.500 0.242
4 La 0.000 0.500 0.758
5 Th 0.500 0.500 0.500
6 Cd 0.500 0.000 0.253
7 Cd 0.500 0.000 0.747
8 Cd 0.500 0.500 0.000

Main lines, by angle (10° ≤ 2θ ≤ 90°):
2theta	I (rel.)
30.74	29
31.05	28
32.54	100
44.26	21
49.02	8
55.81	21
56.19	21
58.99	9
59.17	9
68.16	12
74.02	9
81.11	7